Structure and calculated X-ray powder pattern of LaPrIBr2N (a DFT-relaxed cell (GGA-PBE, OQMD); CuKα).
Neutral-atom scattering factors, no anomalous dispersion.

Lattice parameters (Å, degrees): 19.473 4.135 12.291 90.00 125.66 90.00
Space group C2/m (No. 12)
Inequivalent atoms, fractional coordinates:
La 0.077 0.000 0.464 (multiplicity 4)
Pr 0.135 0.500 0.787 (multiplicity 4)
I 0.039 0.500 0.230 (multiplicity 4)
Br 0.173 0.000 0.007 (multiplicity 4)
Br 0.215 0.500 0.632 (multiplicity 4)
N 0.071 0.000 0.651 (multiplicity 4)

Most intense lines, 15° ≤ 2θ ≤ 90°, low angle first:
hkl, 2theta, d_spacing, intensity
4 0 -1, 18.70, 4.744, 25
1 1 1, 25.17, 3.538, 63
1 1 -2, 26.42, 3.374, 72
4 0 -4, 29.11, 3.067, 34
6 0 -1, 29.57, 3.021, 62
1 1 2, 30.63, 2.919, 100
5 1 -3, 33.27, 2.693, 47
3 1 -4, 36.65, 2.452, 30
6 0 -5, 37.42, 2.403, 33
7 1 -3, 39.22, 2.297, 46
5 1 1, 40.89, 2.207, 47
0 2 0, 43.79, 2.067, 41